The following is a theoretical powder diffractogram of Ti3V. It was derived from a PBE-relaxed structure, using Cu Kα X-rays.
Intensities are scaled so that the largest is 100.

Main lines, most intense first (2θ = 5–70°):
| d/Å | intensity |
| --- | --- |
| 2.146 | 100 |
| 2.244 | 97 |
| 2.428 | 54 |
| 2.294 | 54 |
| 1.667 | 31 |
| 1.456 | 16 |

Structure:
```
Ti3V
1.0
2.754 0.000 0.000
0.000 4.588 0.000
0.000 0.000 5.144
Ti V
3 1
direct
0.000 0.000 0.000
0.000 0.500 0.286
0.500 0.500 0.774
0.500 0.000 0.511
```


The following is a theoretical powder diffractogram of TiV12W6. It was derived from a PBE-relaxed structure, using Cu Kα X-rays.
Intensities are scaled so that the largest is 100.

Main lines, most intense first (2θ = 5–70°):
| d/Å | intensity |
| --- | --- |
| 2.210 | 100 |
| 2.223 | 61 |
| 2.354 | 35 |
| 2.167 | 32 |
| 2.139 | 31 |
| 3.912 | 30 |

Structure:
```
TiV12W6
1.0
4.955 0.000 0.000
-0.487 7.183 0.000
-1.716 -2.843 7.823
Ti V W
1 12 6
direct
0.000 0.000 0.000
0.013 0.155 0.347
0.155 0.650 0.843
0.214 0.552 0.441
0.282 0.447 0.051
0.316 0.954 0.546
0.445 0.119 0.896
0.555 0.881 0.104
0.684 0.046 0.454
0.718 0.553 0.949
0.786 0.448 0.559
0.845 0.350 0.157
0.987 0.845 0.653
0.113 0.779 0.218
0.333 0.336 0.665
0.432 0.240 0.262
0.568 0.760 0.738
0.667 0.664 0.335
0.887 0.221 0.782
```


The following is a theoretical powder diffractogram of Ti8V2W. It was derived from a PBE-relaxed structure, using Cu Kα X-rays.
Intensities are scaled so that the largest is 100.

Main lines, most intense first (2θ = 5–70°):
| d/Å | intensity |
| --- | --- |
| 2.219 | 100 |
| 2.398 | 55 |
| 2.295 | 45 |
| 2.119 | 43 |
| 2.363 | 42 |
| 5.024 | 32 |

Structure:
```
Ti8V2W
1.0
6.590 -2.719 0.000
6.590 2.719 0.000
-0.511 0.000 5.086
Ti V W
8 2 1
direct
0.097 0.097 0.925
0.152 0.664 0.590
0.306 0.306 0.153
0.336 0.848 0.410
0.664 0.152 0.590
0.694 0.694 0.847
0.848 0.336 0.410
0.903 0.903 0.075
0.249 0.249 0.645
0.751 0.751 0.355
0.500 0.500 0.000
```


The following is a theoretical powder diffractogram of TiV4W4. It was derived from a PBE-relaxed structure, using Cu Kα X-rays.
Intensities are scaled so that the largest is 100.

Main lines, most intense first (2θ = 5–70°):
| d/Å | intensity |
| --- | --- |
| 2.611 | 100 |
| 2.094 | 93 |
| 4.959 | 73 |
| 1.914 | 36 |
| 1.785 | 30 |
| 2.479 | 28 |

Structure:
```
TiV4W4
1.0
5.412 0.000 0.000
0.000 5.412 0.000
0.000 0.000 9.918
Ti V W
2 8 8
direct
0.250 0.750 0.250
0.750 0.250 0.750
0.025 0.250 0.193
0.250 0.025 0.693
0.250 0.475 0.693
0.475 0.250 0.193
0.525 0.750 0.807
0.750 0.525 0.307
0.750 0.975 0.307
0.975 0.750 0.807
0.000 0.250 0.484
0.000 0.750 0.516
0.250 0.000 0.984
0.250 0.500 0.984
0.500 0.250 0.484
0.500 0.750 0.516
0.750 0.000 0.016
0.750 0.500 0.016
```


The following is a theoretical powder diffractogram of TiV6W2. It was derived from a PBE-relaxed structure, using Cu Kα X-rays.
Intensities are scaled so that the largest is 100.

Main lines, most intense first (2θ = 5–70°):
| d/Å | intensity |
| --- | --- |
| 3.854 | 100 |
| 2.149 | 100 |
| 2.726 | 88 |
| 2.497 | 84 |
| 6.083 | 79 |
| 2.391 | 77 |

Structure:
```
TiV6W2
1.0
4.333 -2.529 0.000
4.333 2.529 0.000
-2.225 0.000 6.083
Ti V W
1 6 2
direct
0.000 0.000 0.000
0.208 0.690 0.303
0.247 0.247 0.468
0.310 0.792 0.697
0.690 0.208 0.303
0.753 0.753 0.532
0.792 0.310 0.697
0.321 0.321 0.906
0.679 0.679 0.094
```


The following is a theoretical powder diffractogram of Ti2V2W5. It was derived from a PBE-relaxed structure, using Cu Kα X-rays.
Intensities are scaled so that the largest is 100.

Main lines, most intense first (2θ = 5–70°):
| d/Å | intensity |
| --- | --- |
| 4.595 | 100 |
| 2.260 | 49 |
| 2.297 | 32 |
| 2.253 | 28 |
| 2.151 | 21 |
| 2.319 | 19 |

Structure:
```
Ti2V2W5
1.0
7.227 -2.596 0.000
7.227 2.596 0.000
-4.675 0.000 8.055
Ti V W
4 4 10
direct
0.000 0.000 0.000
0.221 0.255 0.252
0.536 0.464 0.500
0.745 0.779 0.748
0.134 0.068 0.634
0.390 0.362 0.880
0.638 0.610 0.120
0.932 0.866 0.366
0.160 0.674 0.654
0.179 0.599 0.127
0.218 0.269 0.565
0.326 0.840 0.346
0.401 0.821 0.873
0.618 0.018 0.070
0.728 0.206 0.727
0.731 0.782 0.435
0.794 0.272 0.273
0.982 0.382 0.930
```


The following is a theoretical powder diffractogram of TiV14W. It was derived from a PBE-relaxed structure, using Cu Kα X-rays.
Intensities are scaled so that the largest is 100.

Main lines, most intense first (2θ = 5–70°):
| d/Å | intensity |
| --- | --- |
| 2.142 | 100 |
| 2.133 | 20 |
| 4.282 | 15 |
| 1.511 | 12 |
| 8.532 | 8 |
| 4.956 | 7 |

Structure:
```
TiV14W
1.0
3.039 -4.281 0.000
3.039 4.281 0.000
0.000 0.000 8.532
Ti V W
1 14 1
direct
0.000 0.000 0.000
0.000 0.000 0.500
0.000 0.500 0.000
0.000 0.500 0.500
0.247 0.753 0.254
0.247 0.753 0.746
0.254 0.254 0.259
0.254 0.254 0.741
0.500 0.000 0.000
0.500 0.000 0.500
0.500 0.500 0.500
0.746 0.746 0.259
0.746 0.746 0.741
0.753 0.247 0.254
0.753 0.247 0.746
0.500 0.500 0.000
```


The following is a theoretical powder diffractogram of TiV4W. It was derived from a PBE-relaxed structure, using Cu Kα X-rays.
Intensities are scaled so that the largest is 100.

Main lines, most intense first (2θ = 5–70°):
| d/Å | intensity |
| --- | --- |
| 2.122 | 100 |
| 2.488 | 54 |
| 1.354 | 30 |
| 4.063 | 29 |
| 3.519 | 23 |
| 2.031 | 22 |

Structure:
```
TiV4W
1.0
0.000 3.519 3.519
3.519 0.000 3.519
3.519 3.519 0.000
Ti V W
1 4 1
direct
0.000 0.000 0.000
0.124 0.625 0.625
0.625 0.124 0.625
0.625 0.625 0.124
0.625 0.625 0.625
0.250 0.250 0.250
```


The following is a theoretical powder diffractogram of Ti3VZn. It was derived from a PBE-relaxed structure, using Cu Kα X-rays.
Intensities are scaled so that the largest is 100.

Main lines, most intense first (2θ = 5–70°):
| d/Å | intensity |
| --- | --- |
| 2.239 | 100 |
| 2.221 | 89 |
| 2.208 | 84 |
| 2.162 | 82 |
| 2.337 | 81 |
| 2.252 | 81 |

Structure:
```
Ti3VZn
1.0
2.820 0.000 0.000
-0.733 6.628 0.000
-0.744 -2.636 8.490
Ti V Zn
6 2 2
direct
0.001 0.016 0.256
0.149 0.593 0.166
0.307 0.594 0.636
0.693 0.406 0.364
0.851 0.407 0.834
0.999 0.984 0.744
0.419 0.182 0.557
0.581 0.818 0.443
0.495 0.206 0.042
0.505 0.794 0.958
```


The following is a theoretical powder diffractogram of TiW. It was derived from a PBE-relaxed structure, using Cu Kα X-rays.
Intensities are scaled so that the largest is 100.

Main lines, most intense first (2θ = 5–70°):
| d/Å | intensity |
| --- | --- |
| 2.254 | 100 |
| 3.680 | 41 |
| 1.922 | 22 |
| 1.594 | 17 |
| 1.462 | 10 |

Structure:
```
TiW
1.0
6.374 0.000 0.000
0.000 6.374 0.000
0.000 0.000 6.374
Ti W
8 8
direct
0.125 0.125 0.125
0.125 0.625 0.625
0.375 0.375 0.875
0.375 0.875 0.375
0.625 0.125 0.625
0.625 0.625 0.125
0.875 0.375 0.375
0.875 0.875 0.875
0.125 0.125 0.625
0.125 0.625 0.125
0.375 0.375 0.375
0.375 0.875 0.875
0.625 0.125 0.125
0.625 0.625 0.625
0.875 0.375 0.875
0.875 0.875 0.375
```


The following is a theoretical powder diffractogram of TiW7. It was derived from a PBE-relaxed structure, using Cu Kα X-rays.
Intensities are scaled so that the largest is 100.

Main lines, most intense first (2θ = 5–70°):
| d/Å | intensity |
| --- | --- |
| 2.249 | 100 |
| 1.590 | 17 |
| 6.362 | 3 |
| 4.499 | 3 |
| 2.845 | 2 |
| 2.597 | 2 |

Structure:
```
TiW7
1.0
4.499 2.597 3.673
-4.499 2.597 3.673
0.000 -5.194 3.673
Ti W
2 14
direct
0.126 0.126 0.126
0.874 0.874 0.874
0.125 0.125 0.624
0.125 0.624 0.125
0.125 0.625 0.625
0.375 0.375 0.875
0.375 0.875 0.375
0.376 0.376 0.376
0.376 0.875 0.875
0.624 0.125 0.125
0.624 0.624 0.624
0.625 0.125 0.625
0.625 0.625 0.125
0.875 0.375 0.375
0.875 0.376 0.875
0.875 0.875 0.376
```


The following is a theoretical powder diffractogram of TiW. It was derived from a PBE-relaxed structure, using Cu Kα X-rays.
Intensities are scaled so that the largest is 100.

Main lines, most intense first (2θ = 5–70°):
| d/Å | intensity |
| --- | --- |
| 2.250 | 100 |
| 4.455 | 49 |
| 2.284 | 26 |
| 2.607 | 26 |
| 2.228 | 24 |
| 1.595 | 17 |

Structure:
```
TiW
1.0
3.176 0.000 0.000
0.000 4.567 0.000
0.000 0.000 4.455
Ti W
2 2
direct
0.000 0.000 0.000
0.500 0.500 0.000
0.000 0.500 0.500
0.500 0.000 0.500
```


The following is a theoretical powder diffractogram of YTi6. It was derived from a PBE-relaxed structure, using Cu Kα X-rays.
Intensities are scaled so that the largest is 100.

Main lines, most intense first (2θ = 5–70°):
| d/Å | intensity |
| --- | --- |
| 2.829 | 100 |
| 1.852 | 54 |
| 3.465 | 44 |
| 1.732 | 22 |
| 1.549 | 15 |
| 1.477 | 12 |

Structure:
```
YTi6
1.0
6.929 0.000 0.000
0.000 6.929 0.000
0.000 0.000 6.929
Y Ti
2 12
direct
0.000 0.000 0.000
0.500 0.500 0.500
0.000 0.250 0.500
0.000 0.500 0.250
0.000 0.500 0.750
0.000 0.750 0.500
0.250 0.000 0.500
0.250 0.500 0.000
0.500 0.000 0.250
0.500 0.000 0.750
0.500 0.250 0.000
0.500 0.750 0.000
0.750 0.000 0.500
0.750 0.500 0.000
```